Computed powder XRD pattern
Compound: Ce2Cd3
Radiation: Cu Kα, 1.54184 Å
Structure: a structure optimized by DFT (GGA-PBE)
Lines closer than 0.1° are merged.

Principal peaks in the range 2θ = 10–90°, in order of rising 2θ:
- 2θ 33.89, I = 887
- 2θ 34.07, I = 1000
- 2θ 34.35, I = 500
- 2θ 35.24, I = 484
- 2θ 47.58, I = 123
- 2θ 50.04, I = 340
- 2θ 61.46, I = 182
- 2θ 62.39, I = 148
- 2θ 62.50, I = 166
- 2θ 67.83, I = 258
- 2θ 68.55, I = 133
- 2θ 89.38, I = 128

Structure:
a = 15.4522 Å, b = 15.4522 Å, c = 5.0929 Å
α = 90.00°, β = 90.00°, γ = 167.94°
Element x y z (fractional)
Ce  0.0729  0.9271  0.7500
Ce  0.2184  0.7816  0.2500
Ce  0.7816  0.2184  0.7500
Ce  0.9271  0.0729  0.2500
Cd  0.3282  0.6718  0.2500
Cd  0.3785  0.6215  0.7500
Cd  0.4757  0.5243  0.7500
Cd  0.5243  0.4757  0.2500
Cd  0.6215  0.3785  0.2500
Cd  0.6718  0.3282  0.7500

---

Computed powder XRD pattern
Compound: Ce5Cd
Radiation: Cu Kα, 1.54184 Å
Structure: a structure optimized by DFT (GGA-PBE)
Lines closer than 0.1° are merged.

Principal peaks in the range 2θ = 10–90°, in order of rising 2θ:
- 2θ 31.32, I = 331
- 2θ 32.24, I = 338
- 2θ 35.73, I = 1000
- 2θ 45.56, I = 233
- 2θ 56.85, I = 66
- 2θ 58.65, I = 193
- 2θ 59.77, I = 223
- 2θ 66.35, I = 75
- 2θ 66.88, I = 81
- 2θ 75.70, I = 102
- 2θ 76.25, I = 50
- 2θ 77.76, I = 84

Structure:
a = 5.5539 Å, b = 17.1349 Å, c = 3.2392 Å
α = 90.00°, β = 90.00°, γ = 90.00°
Element x y z (fractional)
Ce  0.0000  0.0000  0.0000
Ce  0.0000  0.1528  0.5000
Ce  0.0000  0.3302  0.0000
Ce  0.0000  0.6698  0.0000
Ce  0.0000  0.8472  0.5000
Ce  0.5000  0.1698  0.0000
Ce  0.5000  0.3472  0.5000
Ce  0.5000  0.5000  0.0000
Ce  0.5000  0.6528  0.5000
Ce  0.5000  0.8302  0.0000
Cd  0.0000  0.5000  0.5000
Cd  0.5000  0.0000  0.5000

---

Computed powder XRD pattern
Compound: CeCd11
Radiation: Cu Kα, 1.54184 Å
Structure: a structure optimized by DFT (GGA-PBE)
Lines closer than 0.1° are merged.

Principal peaks in the range 2θ = 10–90°, in order of rising 2θ:
- 2θ 30.00, I = 365
- 2θ 31.50, I = 896
- 2θ 32.94, I = 802
- 2θ 34.32, I = 478
- 2θ 39.44, I = 1000
- 2θ 40.63, I = 702
- 2θ 44.05, I = 518
- 2θ 55.16, I = 217
- 2θ 63.21, I = 320
- 2θ 65.76, I = 200
- 2θ 73.94, I = 314
- 2θ 77.90, I = 209

Structure:
a = 9.4199 Å, b = 9.4199 Å, c = 9.4199 Å
α = 90.00°, β = 90.00°, γ = 90.00°
Element x y z (fractional)
Ce  0.0000  0.0000  0.5000
Ce  0.0000  0.5000  0.0000
Ce  0.5000  0.0000  0.0000
Cd  0.0000  0.3449  0.3449
Cd  0.0000  0.3449  0.6551
Cd  0.0000  0.6551  0.3449
Cd  0.0000  0.6551  0.6551
Cd  0.1566  0.1566  0.1566
Cd  0.1566  0.1566  0.8434
Cd  0.1566  0.8434  0.1566
Cd  0.1566  0.8434  0.8434
Cd  0.2656  0.2656  0.5000
Cd  0.2656  0.5000  0.2656
Cd  0.2656  0.5000  0.7344
Cd  0.2656  0.7344  0.5000
Cd  0.3449  0.0000  0.3449
Cd  0.3449  0.0000  0.6551
Cd  0.3449  0.3449  0.0000
Cd  0.3449  0.6551  0.0000
Cd  0.5000  0.2656  0.2656
Cd  0.5000  0.2656  0.7344
Cd  0.5000  0.5000  0.5000
Cd  0.5000  0.7344  0.2656
Cd  0.5000  0.7344  0.7344
Cd  0.6551  0.0000  0.3449
Cd  0.6551  0.0000  0.6551
Cd  0.6551  0.3449  0.0000
Cd  0.6551  0.6551  0.0000
Cd  0.7344  0.2656  0.5000
Cd  0.7344  0.5000  0.2656
Cd  0.7344  0.5000  0.7344
Cd  0.7344  0.7344  0.5000
Cd  0.8434  0.1566  0.1566
Cd  0.8434  0.1566  0.8434
Cd  0.8434  0.8434  0.1566
Cd  0.8434  0.8434  0.8434

---

Computed powder XRD pattern
Compound: CeCd7
Radiation: Cu Kα, 1.54184 Å
Structure: a structure optimized by DFT (GGA-PBE)
Lines closer than 0.1° are merged.

Principal peaks in the range 2θ = 10–90°, in order of rising 2θ:
- 2θ 30.71, I = 251
- 2θ 35.70, I = 1000
- 2θ 35.96, I = 219
- 2θ 48.00, I = 141
- 2θ 54.59, I = 186
- 2θ 63.95, I = 28
- 2θ 64.48, I = 168
- 2θ 66.95, I = 146
- 2θ 67.12, I = 195
- 2θ 75.61, I = 34
- 2θ 84.42, I = 27
- 2θ 89.41, I = 69

Structure:
a = 6.7240 Å, b = 6.7240 Å, c = 4.9943 Å
α = 90.00°, β = 90.00°, γ = 120.00°
Element x y z (fractional)
Ce  0.0000  0.0000  0.0000
Cd  0.3333  0.6667  0.5000
Cd  0.3461  0.1731  0.5000
Cd  0.5043  0.0086  0.0000
Cd  0.5043  0.4957  0.0000
Cd  0.8269  0.1731  0.5000
Cd  0.8269  0.6539  0.5000
Cd  0.9914  0.4957  0.0000

---

Computed powder XRD pattern
Compound: Ce6Cd23
Radiation: Cu Kα, 1.54184 Å
Structure: a structure optimized by DFT (GGA-PBE)
Lines closer than 0.1° are merged.

Principal peaks in the range 2θ = 10–90°, in order of rising 2θ:
- 2θ 30.94, I = 167
- 2θ 32.86, I = 551
- 2θ 35.87, I = 1000
- 2θ 37.58, I = 167
- 2θ 38.13, I = 119
- 2θ 49.44, I = 84
- 2θ 51.64, I = 76
- 2θ 55.02, I = 135
- 2θ 59.47, I = 107
- 2θ 64.47, I = 148
- 2θ 65.60, I = 163
- 2θ 68.55, I = 75

Structure:
a = 10.0132 Å, b = 10.0132 Å, c = 10.0132 Å
α = 60.00°, β = 60.00°, γ = 60.00°
Element x y z (fractional)
Ce  0.2048  0.2048  0.7952
Ce  0.2048  0.7952  0.2048
Ce  0.2048  0.7952  0.7952
Ce  0.7952  0.2048  0.2048
Ce  0.7952  0.2048  0.7952
Ce  0.7952  0.7952  0.2048
Cd  0.0000  0.0000  0.5000
Cd  0.0000  0.5000  0.0000
Cd  0.0000  0.5000  0.5000
Cd  0.1374  0.6209  0.6209
Cd  0.1661  0.1661  0.1661
Cd  0.1661  0.1661  0.5017
Cd  0.1661  0.5017  0.1661
Cd  0.3791  0.3791  0.3791
Cd  0.3791  0.3791  0.8626
Cd  0.3791  0.8626  0.3791
Cd  0.4983  0.8339  0.8339
Cd  0.5000  0.0000  0.0000
Cd  0.5000  0.0000  0.5000
Cd  0.5000  0.5000  0.0000
Cd  0.5000  0.5000  0.5000
Cd  0.5017  0.1661  0.1661
Cd  0.6209  0.1374  0.6209
Cd  0.6209  0.6209  0.1374
Cd  0.6209  0.6209  0.6209
Cd  0.8339  0.4983  0.8339
Cd  0.8339  0.8339  0.4983
Cd  0.8339  0.8339  0.8339
Cd  0.8626  0.3791  0.3791

---

Computed powder XRD pattern
Compound: CeCdCl5
Radiation: Cu Kα, 1.54184 Å
Structure: a structure optimized by DFT (GGA-PBE)
Lines closer than 0.1° are merged.

Principal peaks in the range 2θ = 10–90°, in order of rising 2θ:
- 2θ 12.96, I = 289
- 2θ 17.74, I = 274
- 2θ 18.75, I = 1000
- 2θ 19.09, I = 597
- 2θ 24.21, I = 246
- 2θ 28.45, I = 232
- 2θ 33.35, I = 240
- 2θ 38.73, I = 142
- 2θ 39.11, I = 157
- 2θ 39.71, I = 143
- 2θ 40.90, I = 165
- 2θ 41.09, I = 169

Structure:
a = 7.3762 Å, b = 7.3762 Å, c = 10.6382 Å
α = 111.55°, β = 111.55°, γ = 85.32°
Element x y z (fractional)
Ce  0.0000  0.5000  0.0000
Ce  0.5000  0.0000  0.5000
Cd  0.1457  0.8543  0.7500
Cd  0.8543  0.1457  0.2500
Cl  0.1544  0.1896  0.4703
Cl  0.1786  0.5723  0.8343
Cl  0.1896  0.1544  0.9703
Cl  0.3166  0.6834  0.2500
Cl  0.4277  0.8214  0.6657
Cl  0.5723  0.1786  0.3343
Cl  0.6834  0.3166  0.7500
Cl  0.8104  0.8456  0.0297
Cl  0.8214  0.4277  0.1657
Cl  0.8456  0.8104  0.5297

---

Computed powder XRD pattern
Compound: RbCeCdCl6
Radiation: Cu Kα, 1.54184 Å
Structure: a structure optimized by DFT (GGA-PBE)
Lines closer than 0.1° are merged.

Principal peaks in the range 2θ = 10–90°, in order of rising 2θ:
- 2θ 10.67, I = 861
- 2θ 11.07, I = 304
- 2θ 20.66, I = 1000
- 2θ 21.32, I = 330
- 2θ 21.43, I = 270
- 2θ 22.25, I = 646
- 2θ 27.26, I = 220
- 2θ 32.39, I = 265
- 2θ 35.25, I = 173
- 2θ 35.93, I = 328
- 2θ 37.30, I = 421
- 2θ 42.08, I = 263

Structure:
a = 10.0080 Å, b = 10.0080 Å, c = 10.0080 Å
α = 122.41°, β = 118.83°, γ = 88.95°
Element x y z (fractional)
Rb  0.2797  0.0297  0.2500
Rb  0.7203  0.9703  0.7500
Ce  0.0000  0.5000  0.5000
Ce  0.5000  0.5000  0.0000
Cd  0.0000  0.0000  0.5000
Cd  0.0000  0.5000  0.0000
Cl  0.0549  0.3984  0.2194
Cl  0.0549  0.8355  0.6565
Cl  0.0565  0.8065  0.2500
Cl  0.3210  0.1645  0.7194
Cl  0.3210  0.6016  0.1565
Cl  0.3305  0.5805  0.7500
Cl  0.6695  0.4195  0.2500
Cl  0.6790  0.3984  0.8435
Cl  0.6790  0.8355  0.2806
Cl  0.9435  0.1935  0.7500
Cl  0.9451  0.1645  0.3435
Cl  0.9451  0.6016  0.7806

---

Computed powder XRD pattern
Compound: CsCeCd10
Radiation: Cu Kα, 1.54184 Å
Structure: a structure optimized by DFT (GGA-PBE)
Lines closer than 0.1° are merged.

Principal peaks in the range 2θ = 10–90°, in order of rising 2θ:
- 2θ 24.77, I = 163
- 2θ 28.76, I = 178
- 2θ 33.09, I = 260
- 2θ 34.13, I = 466
- 2θ 34.39, I = 1000
- 2θ 37.41, I = 408
- 2θ 38.15, I = 307
- 2θ 50.79, I = 151
- 2θ 54.29, I = 197
- 2θ 59.58, I = 127
- 2θ 65.55, I = 173
- 2θ 72.51, I = 161

Structure:
a = 4.8076 Å, b = 6.2746 Å, c = 10.7130 Å
α = 90.00°, β = 90.00°, γ = 90.00°
Element x y z (fractional)
Cs  0.0000  0.0000  0.0000
Ce  0.0000  0.5000  0.5000
Cd  0.0000  0.0000  0.3389
Cd  0.0000  0.0000  0.6611
Cd  0.0000  0.5000  0.1741
Cd  0.0000  0.5000  0.8259
Cd  0.5000  0.0000  0.5000
Cd  0.5000  0.2707  0.2809
Cd  0.5000  0.2707  0.7191
Cd  0.5000  0.5000  0.0000
Cd  0.5000  0.7293  0.2809
Cd  0.5000  0.7293  0.7191